Structure and calculated XRD peak list of AcPrP2Rh2 (the PBE geometry in Alexandria; Cu Kα (weighted mean of Kα1 and Kα2)).
Lines closer than 0.1° are merged.

Most intense lines, 2θ = 10–90°, most intense first:
index, 2theta, I (rel.)
1 0 2, 32.6, 100
1 1 0, 43.7, 36
1 1 4, 62.4, 24
0 2 2, 55.5, 22
1 0 0, 24.8, 20
2 1 2, 73.2, 19
1 0 1, 26.9, 15
0 0 4, 42.3, 13

Atomic structure:
```
data_AcPrP2Rh2
_space_group_name_H-M_alt 'P -3 m 1'
_space_group_IT_number 164
_space_group_name_Hall '-P 3 2"'
_cell_length_a 4.1450
_cell_length_b 4.1450
_cell_length_c 8.5478
_cell_angle_alpha 90.00
_cell_angle_beta 90.00
_cell_angle_gamma 120.00
loop_
_atom_site_label
_atom_site_type_symbol
_atom_site_fract_x
_atom_site_fract_y
_atom_site_fract_z
Ac1 Ac 0.0000 0.0000 0.0000
Pr1 Pr 0.0000 0.0000 0.5000
P1 P 0.3333 0.6667 0.2693
Rh1 Rh 0.3333 0.6667 0.7505
```

Structure and calculated XRD peak list of KHo2NpO8 (the PBE geometry in Alexandria; Cu Kα (weighted mean of Kα1 and Kα2)).
Lines closer than 0.1° are merged.

Most intense lines, 2θ = 10–90°, most intense first:
index, 2theta, I (rel.)
0 2 1, 28.0, 100
0 1 0, 11.1, 91
1 0 -1, 27.2, 64
1 0 1, 29.4, 57
1 2 0, 32.0, 48
1 2 -2, 45.9, 38
1 2 2, 48.7, 30
0 0 2, 33.9, 24

Atomic structure:
```
data_KHo2NpO8
_space_group_name_H-M_alt 'P 1 2/m 1'
_space_group_IT_number 10
_cell_length_a 3.9387
_cell_length_b 7.9707
_cell_length_c 5.3062
_cell_angle_alpha 90.00
_cell_angle_beta 94.43
_cell_angle_gamma 90.00
loop_
_space_group_symop_operation_xyz
'x,y,z'
'-x,-y,-z'
'-x,y,-z'
'x,-y,z'
loop_
_atom_site_label
_atom_site_type_symbol
_atom_site_fract_x
_atom_site_fract_y
_atom_site_fract_z
K1 K 0.0000 0.0000 0.0000
Ho1 Ho 0.5000 0.2763 0.5000
Np1 Np 0.0000 0.5000 0.0000
O1 O 0.0220 0.3004 0.7569
O2 O 0.4484 0.0000 0.6340
O3 O 0.4724 0.5000 0.2333
```

Structure and calculated XRD peak list of Pm8Ho3Tm2 (the PBE geometry in Alexandria; Cu Kα (weighted mean of Kα1 and Kα2)).
Lines closer than 0.1° are merged.

Most intense lines, 2θ = 10–90°, most intense first:
index, 2theta, I (rel.)
2 1 1, 30.4, 100
1 1 4, 35.3, 51
3 0 4, 50.8, 24
3 -2 3, 60.4, 21
2 3 2, 50.7, 12
4 3 -4, 85.4, 11
3 3 -1, 60.3, 11
4 0 1, 60.4, 11

Atomic structure:
```
data_Pm8Ho3Tm2
_space_group_name_H-M_alt 'P -1'
_space_group_IT_number 2
_cell_length_a 6.2249
_cell_length_b 6.2396
_cell_length_c 11.3604
_cell_angle_alpha 89.96
_cell_angle_beta 79.41
_cell_angle_gamma 80.31
loop_
_space_group_symop_operation_xyz
'x,y,z'
'-x,-y,-z'
loop_
_atom_site_label
_atom_site_type_symbol
_atom_site_fract_x
_atom_site_fract_y
_atom_site_fract_z
Pm1 Pm 0.0399 0.0786 0.3477
Pm2 Pm 0.1930 0.3846 0.7286
Pm3 Pm 0.3452 0.6921 0.1161
Pm4 Pm 0.4221 0.8460 0.8068
Ho1 Ho 0.1139 0.2314 0.0385
Ho2 Ho 0.5000 0.0000 0.5000
Tm1 Tm 0.2705 0.5390 0.4245
```

Structure and calculated XRD peak list of Rb2NpAuO6 (the PBE geometry in Alexandria; Cu Kα (weighted mean of Kα1 and Kα2)).
Lines closer than 0.1° are merged.

Most intense lines, 2θ = 10–90°, most intense first:
index, 2theta, I (rel.)
1 1 2, 27.7, 100
2 0 0, 30.8, 37
3 1 2, 52.9, 36
1 1 0, 21.6, 22
0 0 2, 17.1, 21
2 0 4, 47.0, 21
2 2 0, 44.1, 21
0 0 4, 34.6, 19

Atomic structure:
```
data_Rb2NpAuO6
_space_group_name_H-M_alt 'I 4/m m m'
_space_group_IT_number 139
_space_group_name_Hall '-I 4 2'
_cell_length_a 5.8078
_cell_length_b 5.8078
_cell_length_c 10.3758
_cell_angle_alpha 90.00
_cell_angle_beta 90.00
_cell_angle_gamma 90.00
loop_
_atom_site_label
_atom_site_type_symbol
_atom_site_fract_x
_atom_site_fract_y
_atom_site_fract_z
Rb1 Rb 0.0000 0.5000 0.2500
Np1 Np 0.0000 0.0000 0.0000
Au1 Au 0.0000 0.0000 0.5000
O1 O 0.0000 0.0000 0.1818
O2 O 0.2445 0.2445 0.5000
```

Structure and calculated XRD peak list of BaH2BrO (the PBE geometry in Alexandria; Cu Kα (weighted mean of Kα1 and Kα2)).
Lines closer than 0.1° are merged.

Most intense lines, 2θ = 10–90°, most intense first:
index, 2theta, I (rel.)
1 3 1, 32.7, 100
1 1 2, 35.5, 52
0 0 2, 27.3, 49
1 1 0, 22.2, 48
0 4 1, 30.9, 40
0 2 1, 19.3, 35
1 3 0, 29.7, 31
1 3 3, 51.8, 28

Atomic structure:
```
data_BaH2BrO
_space_group_name_H-M_alt 'C m c m'
_space_group_IT_number 63
_space_group_name_Hall '-C 2c 2'
_cell_length_a 4.2141
_cell_length_b 12.9155
_cell_length_c 6.5338
_cell_angle_alpha 90.00
_cell_angle_beta 90.00
_cell_angle_gamma 90.00
loop_
_atom_site_label
_atom_site_type_symbol
_atom_site_fract_x
_atom_site_fract_y
_atom_site_fract_z
Ba1 Ba 0.0000 0.1005 0.2500
H1 H 0.0000 0.4553 0.1703
Br1 Br 0.0000 0.2042 0.7500
O1 O 0.0000 0.5000 0.0000
```

Structure and calculated XRD peak list of Na2HgAs2 (the PBE geometry in Alexandria; Cu Kα (weighted mean of Kα1 and Kα2)).
Lines closer than 0.1° are merged.

Most intense lines, 2θ = 10–90°, most intense first:
index, 2theta, I (rel.)
1 1 0, 22.6, 100
1 0 3, 32.9, 78
2 0 0, 32.1, 73
1 1 2, 29.6, 70
2 1 3, 46.6, 59
2 1 5, 61.9, 27
2 2 0, 46.1, 27
1 0 1, 18.5, 24

Atomic structure:
```
data_Na2HgAs2
_space_group_name_H-M_alt 'I 4/m m m'
_space_group_IT_number 139
_space_group_name_Hall '-I 4 2'
_cell_length_a 5.5688
_cell_length_b 5.5688
_cell_length_c 9.3749
_cell_angle_alpha 90.00
_cell_angle_beta 90.00
_cell_angle_gamma 90.00
loop_
_atom_site_label
_atom_site_type_symbol
_atom_site_fract_x
_atom_site_fract_y
_atom_site_fract_z
Na1 Na 0.0000 0.5000 0.2500
Hg1 Hg 0.0000 0.0000 0.0000
As1 As 0.0000 0.0000 0.3770
```

Structure and calculated XRD peak list of BaMn2Ir2 (the PBE geometry in Alexandria; Cu Kα (weighted mean of Kα1 and Kα2)).
Lines closer than 0.1° are merged.

Most intense lines, 2θ = 10–90°, most intense first:
index, 2theta, I (rel.)
1 0 3, 33.4, 100
2 1 3, 54.5, 50
1 1 0, 29.2, 48
2 0 0, 41.7, 45
1 1 6, 62.2, 19
1 1 4, 46.2, 16
2 2 0, 60.5, 15
3 2 3, 85.8, 14

Atomic structure:
```
data_BaMn2Ir2
_space_group_name_H-M_alt 'I 4/m m m'
_space_group_IT_number 139
_space_group_name_Hall '-I 4 2'
_cell_length_a 4.3291
_cell_length_b 4.3291
_cell_length_c 10.2507
_cell_angle_alpha 90.00
_cell_angle_beta 90.00
_cell_angle_gamma 90.00
loop_
_atom_site_label
_atom_site_type_symbol
_atom_site_fract_x
_atom_site_fract_y
_atom_site_fract_z
Ba1 Ba 0.0000 0.0000 0.0000
Mn1 Mn 0.0000 0.5000 0.2500
Ir1 Ir 0.0000 0.0000 0.3534
```

Structure and calculated XRD peak list of Rb2Co3S4 (the PBE geometry in Alexandria; Cu Kα (weighted mean of Kα1 and Kα2)).
Lines closer than 0.1° are merged.

Most intense lines, 2θ = 10–90°, most intense first:
index, 2theta, I (rel.)
1 2 3, 31.4, 100
2 4 0, 47.9, 37
0 4 2, 36.1, 32
2 0 2, 36.3, 31
0 0 4, 27.6, 31
2 0 6, 54.6, 27
0 4 6, 54.5, 25
1 2 1, 24.4, 21

Atomic structure:
```
data_Rb2Co3S4
_space_group_name_H-M_alt 'I b a m'
_space_group_IT_number 72
_space_group_name_Hall '-I 2 2c'
_cell_length_a 5.3564
_cell_length_b 10.7921
_cell_length_c 12.9447
_cell_angle_alpha 90.00
_cell_angle_beta 90.00
_cell_angle_gamma 90.00
loop_
_atom_site_label
_atom_site_type_symbol
_atom_site_fract_x
_atom_site_fract_y
_atom_site_fract_z
Rb1 Rb 0.2462 0.1247 0.0000
Co1 Co 0.0000 0.2536 0.2500
Co2 Co 0.0000 0.5000 0.2500
S1 S 0.2491 0.1250 0.3349
```

Structure and calculated XRD peak list of CaDyAl2Ga2 (the PBE geometry in Alexandria; Cu Kα (weighted mean of Kα1 and Kα2)).
Lines closer than 0.1° are merged.

Most intense lines, 2θ = 10–90°, most intense first:
index, 2theta, I (rel.)
1 0 2, 32.6, 100
1 1 0, 41.1, 47
0 0 1, 11.2, 41
1 0 1, 26.0, 35
0 2 2, 53.5, 24
1 1 4, 63.2, 24
2 1 2, 69.6, 21
0 1 3, 41.6, 16

Atomic structure:
```
data_CaDyAl2Ga2
_space_group_name_H-M_alt 'P -3 m 1'
_space_group_IT_number 164
_space_group_name_Hall '-P 3 2"'
_cell_length_a 4.3885
_cell_length_b 4.3885
_cell_length_c 7.9341
_cell_angle_alpha 90.00
_cell_angle_beta 90.00
_cell_angle_gamma 120.00
loop_
_atom_site_label
_atom_site_type_symbol
_atom_site_fract_x
_atom_site_fract_y
_atom_site_fract_z
Ca1 Ca 0.0000 0.0000 0.0000
Dy1 Dy 0.0000 0.0000 0.5000
Al1 Al 0.3333 0.6667 0.7349
Ga1 Ga 0.3333 0.6667 0.2662
```

Structure and calculated XRD peak list of Ac3ZrS6 (the PBE geometry in Alexandria; Cu Kα (weighted mean of Kα1 and Kα2)).
Lines closer than 0.1° are merged.

Most intense lines, 2θ = 10–90°, most intense first:
index, 2theta, I (rel.)
1 1 -3, 25.0, 100
1 1 1, 23.9, 79
2 0 -2, 25.3, 35
0 0 4, 35.0, 25
2 1 -1, 28.8, 23
2 2 -2, 34.7, 23
0 2 0, 23.4, 23
3 1 -5, 45.0, 22

Atomic structure:
```
data_Ac3ZrS6
_space_group_name_H-M_alt 'P 1 21/c 1'
_space_group_IT_number 14
_cell_length_a 7.0562
_cell_length_b 7.6171
_cell_length_c 12.1092
_cell_angle_alpha 90.00
_cell_angle_beta 122.01
_cell_angle_gamma 90.00
loop_
_space_group_symop_operation_xyz
'x,y,z'
'-x,-y,-z'
'-x,y+1/2,-z+1/2'
'x,-y+1/2,z+1/2'
loop_
_atom_site_label
_atom_site_type_symbol
_atom_site_fract_x
_atom_site_fract_y
_atom_site_fract_z
Ac1 Ac 0.0000 0.0000 0.0000
Ac2 Ac 0.2992 0.0938 0.7612
Zr1 Zr 0.5000 0.0000 0.5000
S1 S 0.1304 0.0470 0.2714
S2 S 0.2742 0.6802 0.0745
S3 S 0.3994 0.2004 0.0665
```

Structure and calculated XRD peak list of LaNd4Tl (the PBE geometry in Alexandria; Cu Kα (weighted mean of Kα1 and Kα2)).
Lines closer than 0.1° are merged.

Most intense lines, 2θ = 10–90°, most intense first:
index, 2theta, I (rel.)
1 0 3, 30.2, 100
1 1 0, 34.1, 39
2 1 3, 58.6, 31
1 1 6, 50.9, 19
2 0 0, 48.9, 14
0 0 6, 36.7, 12
2 0 6, 62.7, 10
1 0 9, 62.1, 7

Atomic structure:
```
data_LaNd4Tl
_space_group_name_H-M_alt 'P 4/m m m'
_space_group_IT_number 123
_space_group_name_Hall '-P 4 2'
_cell_length_a 3.7228
_cell_length_b 3.7228
_cell_length_c 14.6973
_cell_angle_alpha 90.00
_cell_angle_beta 90.00
_cell_angle_gamma 90.00
loop_
_atom_site_label
_atom_site_type_symbol
_atom_site_fract_x
_atom_site_fract_y
_atom_site_fract_z
La1 La 0.0000 0.0000 0.0000
Nd1 Nd 0.0000 0.0000 0.3547
Nd2 Nd 0.5000 0.5000 0.1793
Tl1 Tl 0.5000 0.5000 0.5000
```